# 1
Theoretical powder X-ray diffraction pattern
Compound: Na4CO4
Radiation: CuKα
Structure: a cell relaxed with PBE
Intensities are scaled so that the largest is 100.

Principal peaks in the range 2θ = 15–90°, by intensity:
- 2θ 34.1, rel. 100, hkl 3 1 -1
- 2θ 48.1, rel. 66, hkl 3 1 1
- 2θ 19.9, rel. 64, hkl 1 1 0
- 2θ 23.5, rel. 60, hkl 1 1 -1
- 2θ 33.7, rel. 57, hkl 0 2 0
- 2θ 48.9, rel. 52, hkl 2 2 1
- 2θ 37.5, rel. 49, hkl 1 1 -2
- 2θ 18.2, rel. 47, hkl 0 0 1
- 2θ 44.3, rel. 40, hkl 4 0 0
- 2θ 40.6, rel. 32, hkl 3 1 -2

Atomic structure:
```
data_Na4CO4
_chemical_formula_sum 'Na8 C2 O8'
_cell_length_a 9.1517
_cell_length_b 5.3187
_cell_length_c 5.4595
_cell_angle_alpha 90.00
_cell_angle_beta 116.72
_cell_angle_gamma 90.00
_symmetry_space_group_name_H-M 'C 1 2 1'
_symmetry_Int_Tables_number 5
loop_
_symmetry_equiv_pos_as_xyz
'x,y,z'
'-x,y,-z'
'x+1/2,y+1/2,z'
'-x+1/2,y+1/2,-z'
loop_
_atom_site_label
_atom_site_fract_x
_atom_site_fract_y
_atom_site_fract_z
Na1 0.1322 0.0000 0.3860
Na2 0.1596 0.4511 0.0335
C1 0.0000 0.5810 0.5000
O1 0.0828 0.4287 0.3883
O2 0.1149 0.7400 0.7126
```

# 2
Theoretical powder X-ray diffraction pattern
Compound: Na4CO4
Radiation: CuKα
Structure: a cell relaxed with PBE
Intensities are scaled so that the largest is 100.

Principal peaks in the range 2θ = 15–90°, by intensity:
- 2θ 33.8, rel. 100, hkl 0 1 -2
- 2θ 18.3, rel. 99, hkl 0 1 1
- 2θ 36.5, rel. 93, hkl -1 1 1
- 2θ 35.5, rel. 69, hkl 1 0 2
- 2θ 33.5, rel. 66, hkl 1 1 -1
- 2θ 35.3, rel. 63, hkl 1 2 1
- 2θ 39.3, rel. 47, hkl 1 2 2
- 2θ 52.3, rel. 46, hkl 2 1 1
- 2θ 46.9, rel. 42, hkl 0 1 -3
- 2θ 28.2, rel. 33, hkl 0 1 2

Atomic structure:
```
data_Na4CO4
_chemical_formula_sum 'Na4 C1 O4'
_cell_length_a 3.5131
_cell_length_b 6.0084
_cell_length_c 6.9148
_cell_angle_alpha 76.15
_cell_angle_beta 79.92
_cell_angle_gamma 75.12
_symmetry_space_group_name_H-M 'P 1'
_symmetry_Int_Tables_number 1
loop_
_symmetry_equiv_pos_as_xyz
'x,y,z'
loop_
_atom_site_label
_atom_site_fract_x
_atom_site_fract_y
_atom_site_fract_z
Na1 0.0000 0.0000 0.0000
Na2 0.1121 0.4190 0.3598
Na3 0.4187 0.4314 0.7483
Na4 0.6692 0.0044 0.5856
C1 0.4392 0.8305 0.2958
O1 0.0331 0.2153 0.6923
O2 0.3067 0.7414 0.4776
O3 0.4268 0.0560 0.2389
O4 0.5838 0.6938 0.1653
```

# 3
Theoretical powder X-ray diffraction pattern
Compound: Na4CO4
Radiation: CuKα
Structure: a cell relaxed with PBE
Intensities are scaled so that the largest is 100.

Principal peaks in the range 2θ = 15–90°, by intensity:
- 2θ 18.5, rel. 100, hkl 0 0 1
- 2θ 20.3, rel. 75, hkl 0 2 0
- 2θ 27.6, rel. 63, hkl 2 0 -1
- 2θ 41.3, rel. 60, hkl 2 2 -2
- 2θ 37.5, rel. 44, hkl 2 2 0
- 2θ 43.9, rel. 36, hkl 2 0 1
- 2θ 57.0, rel. 34, hkl 4 0 -2
- 2θ 50.5, rel. 28, hkl 2 4 -1
- 2θ 35.6, rel. 24, hkl 1 3 -1
- 2θ 45.6, rel. 20, hkl 3 1 -2

Atomic structure:
```
data_Na4CO4
_chemical_formula_sum 'Na8 C2 O8'
_cell_length_a 6.5159
_cell_length_b 8.7327
_cell_length_c 5.4618
_cell_angle_alpha 90.00
_cell_angle_beta 118.52
_cell_angle_gamma 90.00
_symmetry_space_group_name_H-M 'C 1 m 1'
_symmetry_Int_Tables_number 8
loop_
_symmetry_equiv_pos_as_xyz
'x,y,z'
'x,-y,z'
'x+1/2,y+1/2,z'
'x+1/2,-y+1/2,z'
loop_
_atom_site_label
_atom_site_fract_x
_atom_site_fract_y
_atom_site_fract_z
Na1 0.0000 0.0000 0.0000
Na2 0.0229 0.5000 0.0524
Na3 0.2390 0.2357 0.5285
C1 0.4234 0.5000 0.4505
O1 0.1576 0.0000 0.6851
O2 0.2536 0.5000 0.5459
O3 0.3872 0.3671 0.2814
```

# 4
Theoretical powder X-ray diffraction pattern
Compound: Na8C3O8
Radiation: CuKα
Structure: a cell relaxed with PBE
Intensities are scaled so that the largest is 100.

Principal peaks in the range 2θ = 15–90°, by intensity:
- 2θ 49.9, rel. 100, hkl 5 1 -4
- 2θ 28.1, rel. 93, hkl 1 1 1
- 2θ 31.6, rel. 62, hkl 5 1 -1
- 2θ 31.5, rel. 59, hkl 3 1 1
- 2θ 32.2, rel. 50, hkl 5 1 0
- 2θ 50.7, rel. 47, hkl 0 2 0
- 2θ 50.2, rel. 45, hkl 11 1 -2
- 2θ 26.9, rel. 44, hkl 1 1 -1
- 2θ 32.8, rel. 43, hkl 3 1 -2
- 2θ 15.9, rel. 41, hkl 2 0 1

Atomic structure:
```
data_Na8C3O8
_chemical_formula_sum 'Na16 C6 O16'
_cell_length_a 23.4512
_cell_length_b 3.5979
_cell_length_c 8.5278
_cell_angle_alpha 90.00
_cell_angle_beta 110.75
_cell_angle_gamma 90.00
_symmetry_space_group_name_H-M 'C 1 m 1'
_symmetry_Int_Tables_number 8
loop_
_symmetry_equiv_pos_as_xyz
'x,y,z'
'x,-y,z'
'x+1/2,y+1/2,z'
'x+1/2,-y+1/2,z'
loop_
_atom_site_label
_atom_site_fract_x
_atom_site_fract_y
_atom_site_fract_z
Na1 0.0000 0.0000 0.0000
Na2 0.0023 0.5000 0.6317
Na3 0.1056 0.5000 0.2949
Na4 0.1205 0.0000 0.6465
Na5 0.2227 0.0000 0.2478
Na6 0.2347 0.5000 0.9054
Na7 0.3429 0.5000 0.6133
Na8 0.3964 0.0000 0.2095
C1 0.0153 0.0000 0.3211
C2 0.1148 0.5000 0.9602
C3 0.2254 0.0000 0.5750
O1 0.0201 0.0000 0.4792
O2 0.0635 0.5000 0.9870
O3 0.1146 0.5000 0.8074
O4 0.1667 0.5000 0.0864
O5 0.1723 0.0000 0.4523
O6 0.2274 0.0000 0.7293
O7 0.2750 0.0000 0.5398
O8 0.4598 0.5000 0.2102
```